Simulated powder diffraction line list of NpInNiO6 for Cu Kα, from a cell relaxed with PBE+U.
Peak positions follow from Bragg's law for the DFT cell and can differ from measured ones.

Lattice parameters (Å, degrees): 5.2727 5.2727 9.4799 90.00 90.00 120.00
Space group P-31c (No. 163)
Inequivalent atoms, fractional coordinates:
1 Np 0.3333 0.6667 0.2500 x2
2 In 0.0000 0.0000 0.0000 x2
3 Ni 0.3333 0.6667 0.7500 x2
4 O 0.0078 0.3473 0.1331 x12

The 10 most intense peaks (10° ≤ 2θ ≤ 80°), in order of rising 2θ:
two_theta  I (rel.)  h k l
18.7  20.4  0 0 2
21.6  49.9  1 0 1
27.1  100.0  1 0 2
34.0  51.9  1 1 0
34.5  15.2  1 0 3
39.1  20.2  1 1 2
44.0  26.8  2 0 2
51.9  49.2  1 1 4
56.8  25.2  2 1 2
60.9  17.6  3 0 0